1.
Structure and computed powder X-ray diffraction pattern of Pr3Nd3In2Ga (the PBE geometry in Alexandria; a wavelength of 1.5418 Å).
Lines closer than 0.1° are merged.

Top 10 peaks for 2θ from 10° to 90°, by angle:
2theta, I (rel.), h k l
29.9, 45, 2 1 0
30.4, 100, 1 1 1
32.5, 50, 2 0 1
34.0, 59, 3 0 0
38.1, 20, 2 1 1
41.1, 11, 3 1 0
47.3, 15, 0 0 2
56.0, 32, 3 2 1
56.9, 15, 2 1 2
59.5, 23, 3 0 2

Atomic structure:
Cell lengths 9.1332, 9.1332, 3.8465 Å; angles 90.00, 90.00, 120.00 degrees
Space group P-62m (No. 189)
Unique sites:
Pr 0.0000 0.7294 0.0000 (multiplicity 3)
Nd 0.0000 0.3893 0.5000 (multiplicity 3)
In 0.3333 0.6667 0.0000 (multiplicity 2)
Ga 0.0000 0.0000 0.5000 (multiplicity 1)


2.
Structure and computed powder X-ray diffraction pattern of Pr2Nd2InGa4 (the PBE geometry in Alexandria; a wavelength of 1.5418 Å).
Lines closer than 0.1° are merged.

Top 10 peaks for 2θ from 10° to 90°, by angle:
2theta, I (rel.), h k l
24.5, 25, 2 0 0
25.7, 12, 1 1 2
31.1, 100, 2 0 2
35.0, 62, 2 2 0
38.3, 11, 0 0 4
40.0, 29, 2 1 3
50.3, 22, 4 0 0
52.8, 18, 2 2 4
60.3, 30, 4 2 2
73.2, 11, 3 1 6

Atomic structure:
Cell lengths 7.2579, 7.2579, 9.3962 Å; angles 90.00, 90.00, 90.00 degrees
Space group I4/mmm (No. 139)
Unique sites:
Pr 0.0000 0.5000 0.2500 (multiplicity 4)
Nd 0.0000 0.0000 0.1848 (multiplicity 4)
In 0.0000 0.0000 0.5000 (multiplicity 2)
Ga 0.2433 0.2433 0.0000 (multiplicity 8)


3.
Structure and computed powder X-ray diffraction pattern of Nd2Y2InGa4 (the PBE geometry in Alexandria; a wavelength of 1.5418 Å).
Lines closer than 0.1° are merged.

Top 10 peaks for 2θ from 10° to 90°, by angle:
2theta, I (rel.), h k l
17.5, 33, 1 1 0
24.8, 25, 2 0 0
31.3, 44, 1 0 3
31.4, 100, 2 0 2
35.4, 89, 2 2 0
40.4, 51, 2 1 3
48.0, 18, 3 0 3
50.9, 31, 4 0 0
53.3, 24, 2 2 4
61.0, 41, 4 2 2

Atomic structure:
Cell lengths 7.1776, 7.1776, 9.3416 Å; angles 90.00, 90.00, 90.00 degrees
Space group I4/mmm (No. 139)
Unique sites:
Nd 0.0000 0.0000 0.1871 (multiplicity 4)
Y 0.0000 0.5000 0.2500 (multiplicity 4)
In 0.0000 0.0000 0.5000 (multiplicity 2)
Ga 0.2422 0.2422 0.0000 (multiplicity 8)